Starting from a crystal structure in the Materials Project, relaxed with PBE, the powder diffraction line list of Sr3TiSi4O15 was computed for a wavelength of 1.5418 Å.
Kinematic intensities with the Lorentz-polarization factor, no thermal factor.

Structure:
```
Sr3TiSi4O15
1.0
7.820 0.000 0.000
0.000 7.703 0.000
-2.592 0.000 10.941
Sr Ti Si O
6 2 8 30
direct
0.104 0.250 0.241
0.145 0.750 0.394
0.208 0.250 0.912
0.792 0.750 0.088
0.855 0.250 0.606
0.896 0.750 0.759
0.500 0.000 0.500
0.500 0.500 0.500
0.244 0.539 0.700
0.244 0.961 0.700
0.375 0.546 0.198
0.375 0.954 0.198
0.625 0.046 0.802
0.625 0.454 0.802
0.756 0.039 0.300
0.756 0.461 0.300
0.069 0.042 0.730
0.069 0.458 0.730
0.070 0.750 0.000
0.096 0.250 0.478
0.237 0.750 0.726
0.249 0.062 0.091
0.249 0.438 0.091
0.274 0.510 0.561
0.274 0.990 0.561
0.309 0.750 0.191
0.354 0.027 0.331
0.354 0.473 0.331
0.413 0.044 0.804
0.413 0.456 0.804
0.480 0.750 0.480
0.520 0.250 0.520
0.587 0.544 0.196
0.587 0.956 0.196
0.646 0.527 0.669
0.646 0.973 0.669
0.691 0.250 0.809
0.726 0.010 0.439
0.726 0.490 0.439
0.751 0.562 0.909
0.751 0.938 0.909
0.763 0.250 0.274
0.904 0.750 0.522
0.930 0.250 0.000
0.931 0.542 0.270
0.931 0.958 0.270
```

Top 12 peaks for 10° ≤ 2θ ≤ 90°, sorted by position:
2theta	Rel. int.	hkl
19.45	85	1 1 1
25.93	100	1 2 0
27.06	81	0 1 3
27.81	30	2 1 -2
29.22	44	1 2 -2
31.75	32	1 1 3
32.01	31	2 1 -3
32.16	39	1 2 2
34.44	43	3 0 -1
35.43	49	2 2 1
43.09	42	0 3 3
47.20	40	0 4 0